Starting from DFT lattice parameters and positions (PBE), the powder diffraction line list of Cd7InHg6 was simulated for Cu Kα (λ = 1.5418 Å).
Neutral-atom scattering factors, no anomalous dispersion.

Atomic structure:
Cell lengths 12.1484, 12.1484, 12.1484 Å; angles 151.08, 64.66, 123.55 degrees
Element x y z (fractional)
Cd: 0.0251 0.2612 0.2864
Cd: 0.1014 0.4880 0.8460
Cd: 0.1420 0.9880 0.3865
Cd: 0.2500 0.2500 0.0000
Cd: 0.3580 0.7446 0.8460
Cd: 0.3986 0.2446 0.3865
Cd: 0.4749 0.7612 0.2361
Cd: 0.5251 0.2388 0.7639
Cd: 0.6014 0.7554 0.6135
Cd: 0.6420 0.2554 0.1540
Cd: 0.7500 0.7500 0.0000
Cd: 0.8580 0.0120 0.6135
Cd: 0.8986 0.5120 0.1540
Cd: 0.9749 0.7388 0.7136
In: 0.2500 0.7500 0.5000
In: 0.7500 0.2500 0.5000
Hg: 0.0483 0.9425 0.6326
Hg: 0.1160 0.8144 0.9304
Hg: 0.1901 0.5575 0.1058
Hg: 0.3099 0.4157 0.3674
Hg: 0.3840 0.3144 0.6984
Hg: 0.4517 0.0843 0.8942
Hg: 0.5483 0.9157 0.1058
Hg: 0.6160 0.6856 0.3016
Hg: 0.6901 0.5843 0.6326
Hg: 0.8099 0.4425 0.8942
Hg: 0.8840 0.1856 0.0696
Hg: 0.9517 0.0575 0.3674

Top 10 peaks for 15 to 90 degrees two-theta, low angle first:
2θ 28.9, I = 100
2θ 29.4, I = 24
2θ 32.4, I = 33
2θ 33.2, I = 18
2θ 34.3, I = 41
2θ 35.0, I = 42
2θ 37.8, I = 20
2θ 38.1, I = 19
2θ 38.3, I = 99
2θ 38.9, I = 19

***

Starting from DFT lattice parameters and positions (PBE), the powder diffraction line list of CdIn4Hg7 was simulated for Cu Kα (λ = 1.5418 Å).
Neutral-atom scattering factors, no anomalous dispersion.

Atomic structure:
Cell lengths 4.9943, 4.9943, 14.7767 Å; angles 90.00, 90.00, 120.00 degrees
Element x y z (fractional)
Cd: 0.0000 0.0000 0.0000
In: 0.3333 0.6667 0.1624
In: 0.3333 0.6667 0.4127
In: 0.6667 0.3333 0.5873
In: 0.6667 0.3333 0.8376
Hg: 0.0000 0.0000 0.2438
Hg: 0.0000 0.0000 0.5000
Hg: 0.0000 0.0000 0.7562
Hg: 0.3333 0.6667 0.6696
Hg: 0.3333 0.6667 0.9247
Hg: 0.6667 0.3333 0.0753
Hg: 0.6667 0.3333 0.3304

Top 10 peaks for 15 to 90 degrees two-theta, low angle first:
2θ 31.9, I = 100
2θ 36.0, I = 74
2θ 48.8, I = 31
2θ 54.0, I = 22
2θ 62.1, I = 30
2θ 64.6, I = 13
2θ 66.6, I = 12
2θ 78.1, I = 15
2θ 85.0, I = 13
2θ 88.5, I = 10

***

Starting from DFT lattice parameters and positions (PBE), the powder diffraction line list of Cd5In3Hg2 was simulated for Cu Kα (λ = 1.5418 Å).
Neutral-atom scattering factors, no anomalous dispersion.

Atomic structure:
Cell lengths 11.1091, 11.1091, 11.1091 Å; angles 130.88, 60.09, 147.59 degrees
Element x y z (fractional)
Cd: 0.0152 0.7500 0.2652
Cd: 0.1329 0.0080 0.1409
Cd: 0.2500 0.2500 0.0000
Cd: 0.3671 0.5080 0.8751
Cd: 0.4848 0.7500 0.7348
Cd: 0.5152 0.2500 0.2652
Cd: 0.6329 0.4920 0.1249
Cd: 0.7500 0.7500 0.0000
Cd: 0.8671 0.9920 0.8591
Cd: 0.9848 0.2500 0.7348
In: 0.1202 0.6881 0.8083
In: 0.2500 0.7500 0.5000
In: 0.3798 0.1881 0.5679
In: 0.6202 0.8119 0.4321
In: 0.7500 0.2500 0.5000
In: 0.8798 0.3119 0.1917
Hg: 0.1231 0.3209 0.4440
Hg: 0.3769 0.8209 0.1978
Hg: 0.6231 0.1791 0.8022
Hg: 0.8769 0.6791 0.5560

Top 10 peaks for 15 to 90 degrees two-theta, low angle first:
2θ 18.5, I = 23
2θ 26.8, I = 46
2θ 29.4, I = 28
2θ 32.3, I = 19
2θ 34.4, I = 100
2θ 34.9, I = 24
2θ 37.4, I = 58
2θ 41.6, I = 26
2θ 43.8, I = 25
2θ 71.1, I = 19

***

Starting from DFT lattice parameters and positions (PBE), the powder diffraction line list of Cd2In3Hg2 was simulated for Cu Kα (λ = 1.5418 Å).
Neutral-atom scattering factors, no anomalous dispersion.

Atomic structure:
Cell lengths 3.3899, 6.9936, 8.4250 Å; angles 111.37, 96.41, 101.00 degrees
Element x y z (fractional)
Cd: 0.1468 0.2959 0.4336
Cd: 0.8532 0.7041 0.5664
In: 0.0000 0.0000 0.0000
In: 0.4351 0.8632 0.2880
In: 0.5649 0.1368 0.7120
Hg: 0.2873 0.5681 0.8510
Hg: 0.7127 0.4319 0.1490

Top 10 peaks for 15 to 90 degrees two-theta, low angle first:
2θ 32.1, I = 100
2θ 34.3, I = 42
2θ 34.8, I = 40
2θ 36.3, I = 36
2θ 39.6, I = 28
2θ 39.9, I = 27
2θ 51.7, I = 13
2θ 66.0, I = 12
2θ 67.1, I = 12
2θ 67.2, I = 11

***

Starting from DFT lattice parameters and positions (PBE), the powder diffraction line list of Cd12InHg6 was simulated for Cu Kα (λ = 1.5418 Å).
Neutral-atom scattering factors, no anomalous dispersion.

Atomic structure:
Cell lengths 7.7001, 7.7066, 7.8911 Å; angles 89.79, 88.72, 83.39 degrees
Element x y z (fractional)
Cd: 0.0008 0.2921 0.0308
Cd: 0.0437 0.0394 0.6856
Cd: 0.0984 0.4604 0.6677
Cd: 0.2958 0.0039 0.0386
Cd: 0.3728 0.3760 0.9686
Cd: 0.4549 0.1004 0.6656
Cd: 0.5451 0.8996 0.3344
Cd: 0.6272 0.6240 0.0314
Cd: 0.7042 0.9961 0.9614
Cd: 0.9016 0.5396 0.3323
Cd: 0.9563 0.9606 0.3144
Cd: 0.9992 0.7079 0.9692
In: 0.5000 0.5000 0.5000
Hg: 0.2202 0.2244 0.3714
Hg: 0.2569 0.6721 0.2518
Hg: 0.3331 0.7444 0.7545
Hg: 0.6669 0.2556 0.2455
Hg: 0.7431 0.3279 0.7482
Hg: 0.7798 0.7756 0.6286

Top 10 peaks for 15 to 90 degrees two-theta, low angle first:
2θ 27.2, I = 22
2θ 28.8, I = 20
2θ 33.4, I = 100
2θ 34.1, I = 29
2θ 35.5, I = 68
2θ 36.0, I = 60
2θ 36.8, I = 57
2θ 37.0, I = 53
2θ 37.4, I = 39
2θ 38.4, I = 37

***

Starting from DFT lattice parameters and positions (PBE), the powder diffraction line list of CdIn5Hg12 was simulated for Cu Kα (λ = 1.5418 Å).
Neutral-atom scattering factors, no anomalous dispersion.

Atomic structure:
Cell lengths 6.0439, 6.0439, 15.2850 Å; angles 94.67, 94.67, 119.44 degrees
Element x y z (fractional)
Cd: 0.0000 0.0000 0.0000
In: 0.1669 0.8331 0.5000
In: 0.3318 0.6682 0.0000
In: 0.5000 0.5000 0.5000
In: 0.6682 0.3318 0.0000
In: 0.8331 0.1669 0.5000
Hg: 0.0618 0.3867 0.1670
Hg: 0.1136 0.1136 0.3340
Hg: 0.2171 0.5497 0.6696
Hg: 0.2692 0.2692 0.8345
Hg: 0.3867 0.0618 0.1670
Hg: 0.4503 0.7829 0.3304
Hg: 0.5497 0.2171 0.6696
Hg: 0.6133 0.9382 0.8330
Hg: 0.7308 0.7308 0.1655
Hg: 0.7829 0.4503 0.3304
Hg: 0.8864 0.8864 0.6660
Hg: 0.9382 0.6133 0.8330

Top 10 peaks for 15 to 90 degrees two-theta, low angle first:
2θ 31.1, I = 100
2θ 31.2, I = 45
2θ 32.9, I = 35
2θ 33.4, I = 58
2θ 33.8, I = 34
2θ 35.7, I = 76
2θ 36.0, I = 51
2θ 39.8, I = 51
2θ 52.1, I = 52
2θ 64.0, I = 38

***

Starting from DFT lattice parameters and positions (PBE), the powder diffraction line list of Cd2In12Hg7 was simulated for Cu Kα (λ = 1.5418 Å).
Neutral-atom scattering factors, no anomalous dispersion.

Atomic structure:
Cell lengths 11.3353, 3.3208, 15.1502 Å; angles 90.00, 101.97, 90.00 degrees
Element x y z (fractional)
Cd: 0.0000 0.0000 0.0000
Cd: 0.2963 0.5000 0.7288
In: 0.0725 0.5000 0.8310
In: 0.1019 0.0000 0.4205
In: 0.3462 0.0000 0.9084
In: 0.3513 0.0000 0.2145
In: 0.3523 0.5000 0.3966
In: 0.5581 0.0000 0.7756
In: 0.5900 0.5000 0.1939
In: 0.6119 0.5000 0.5896
In: 0.8366 0.5000 0.1086
In: 0.8377 0.0000 0.3005
In: 0.8440 0.0000 0.7053
In: 0.8612 0.5000 0.4995
Hg: 0.0805 0.0000 0.6234
Hg: 0.0944 0.5000 0.2274
Hg: 0.2353 0.5000 0.0464
Hg: 0.3601 0.0000 0.5746
Hg: 0.5996 0.0000 0.0069
Hg: 0.6078 0.0000 0.3967
Hg: 0.7838 0.5000 0.8843

Top 10 peaks for 15 to 90 degrees two-theta, low angle first:
2θ 31.1, I = 78
2θ 32.3, I = 83
2θ 32.5, I = 48
2θ 32.6, I = 42
2θ 34.4, I = 78
2θ 34.6, I = 100
2θ 34.9, I = 40
2θ 36.7, I = 73
2θ 38.4, I = 34
2θ 55.3, I = 37

***

Starting from DFT lattice parameters and positions (PBE), the powder diffraction line list of CdIn3Hg7 was simulated for Cu Kα (λ = 1.5418 Å).
Neutral-atom scattering factors, no anomalous dispersion.

Atomic structure:
Cell lengths 7.6618, 7.6618, 5.8850 Å; angles 107.44, 107.44, 96.10 degrees
Element x y z (fractional)
Cd: 0.0000 0.0000 0.0000
In: 0.2620 0.7380 0.5000
In: 0.5000 0.5000 0.0000
In: 0.7380 0.2620 0.5000
Hg: 0.0000 0.0000 0.5000
Hg: 0.0923 0.5659 0.8323
Hg: 0.3170 0.3170 0.3582
Hg: 0.4341 0.9077 0.1677
Hg: 0.5659 0.0923 0.8323
Hg: 0.6830 0.6830 0.6418
Hg: 0.9077 0.4341 0.1677

Top 10 peaks for 15 to 90 degrees two-theta, low angle first:
2θ 27.5, I = 18
2θ 30.3, I = 25
2θ 30.7, I = 100
2θ 31.4, I = 94
2θ 35.0, I = 100
2θ 35.6, I = 20
2θ 38.5, I = 64
2θ 44.5, I = 69
2θ 54.8, I = 24
2θ 60.7, I = 28